[1]
Starting from a GGA+U-relaxed structure, the XRD peak list of Rb2Nd2MgW4O16 was calculated for Cu Kα (weighted mean of Kα1 and Kα2).

Atomic structure:
Lattice parameters (Å, degrees): 7.577 7.588 8.247 87.41 62.99 61.71
Space group P1 (No. 1)
Unique sites:
Rb 0.000 0.000 0.000 [1 per cell]
Rb 0.394 0.492 0.743 [1 per cell]
Nd 0.474 0.983 0.067 [1 per cell]
Nd 0.941 0.485 0.668 [1 per cell]
Mg 0.827 0.241 0.383 [1 per cell]
W 0.025 0.916 0.555 [1 per cell]
W 0.408 0.536 0.186 [1 per cell]
W 0.519 0.941 0.540 [1 per cell]
W 0.905 0.544 0.185 [1 per cell]
O 0.095 0.253 0.191 [1 per cell]
O 0.157 0.606 0.136 [1 per cell]
O 0.191 0.593 0.456 [1 per cell]
O 0.245 0.859 0.282 [1 per cell]
O 0.287 0.868 0.598 [1 per cell]
O 0.322 0.209 0.554 [1 per cell]
O 0.462 0.950 0.784 [1 per cell]
O 0.525 0.262 0.109 [1 per cell]
O 0.574 0.599 0.966 [1 per cell]
O 0.656 0.455 0.262 [1 per cell]
O 0.656 0.856 0.258 [1 per cell]
O 0.767 0.624 0.471 [1 per cell]
O 0.772 0.008 0.473 [1 per cell]
O 0.857 0.866 0.781 [1 per cell]
O 0.898 0.218 0.594 [1 per cell]
O 0.984 0.505 0.938 [1 per cell]

Peak list (8 most intense, 5° ≤ 2θ ≤ 70°, by angle)
(hkl), Position (°2θ), Rel. int.
0 0 2, 24.82, 61
0 1 -2, 25.62, 53
0 2 0, 27.35, 99
2 0 2, 28.48, 96
2 2 0, 28.93, 100
2 0 0, 30.78, 58
0 1 2, 30.94, 61
4 2 2, 48.07, 52

---

[2]
Starting from a GGA+U-relaxed structure, the XRD peak list of Rb2Nd2MgW4O16 was calculated for Cu Kα (weighted mean of Kα1 and Kα2).

Atomic structure:
Lattice parameters (Å, degrees): 10.802 11.526 7.580 90.00 131.51 90.00
Space group C2 (No. 5)
Unique sites:
Rb 0.000 0.000 0.000 [2 per cell]
Rb 0.000 0.476 0.500 [2 per cell]
Nd 0.000 0.023 0.500 [2 per cell]
Nd 0.000 0.509 0.000 [2 per cell]
Mg 0.000 0.251 0.000 [2 per cell]
W 0.204 0.768 0.460 [4 per cell]
W 0.206 0.746 0.965 [4 per cell]
O 0.026 0.857 0.721 [4 per cell]
O 0.030 0.653 0.249 [4 per cell]
O 0.113 0.173 0.410 [4 per cell]
O 0.115 0.351 0.925 [4 per cell]
O 0.202 0.815 0.215 [4 per cell]
O 0.222 0.412 0.381 [4 per cell]
O 0.231 0.100 0.880 [4 per cell]
O 0.242 0.698 0.742 [4 per cell]

Peak list (8 most intense, 5° ≤ 2θ ≤ 70°, by angle)
(hkl), Position (°2θ), Rel. int.
0 2 0, 15.38, 23
2 2 0, 26.93, 95
2 2 -2, 28.21, 100
0 4 0, 31.04, 31
0 0 2, 31.52, 32
4 0 -2, 33.25, 24
0 4 2, 44.82, 36
4 4 -2, 46.12, 22

---

What did the first record say?
Starting from a GGA+U-relaxed structure, the XRD peak list of Rb2Nd2MgW4O16 was calculated for Cu Kα (weighted mean of Kα1 and Kα2).

Atomic structure:
Lattice parameters (Å, degrees): 7.577 7.588 8.247 87.41 62.99 61.71
Space group P1 (No. 1)
Unique sites:
Rb 0.000 0.000 0.000 [1 per cell]
Rb 0.394 0.492 0.743 [1 per cell]
Nd 0.474 0.983 0.067 [1 per cell]
Nd 0.941 0.485 0.668 [1 per cell]
Mg 0.827 0.241 0.383 [1 per cell]
W 0.025 0.916 0.555 [1 per cell]
W 0.408 0.536 0.186 [1 per cell]
W 0.519 0.941 0.540 [1 per cell]
W 0.905 0.544 0.185 [1 per cell]
O 0.095 0.253 0.191 [1 per cell]
O 0.157 0.606 0.136 [1 per cell]
O 0.191 0.593 0.456 [1 per cell]
O 0.245 0.859 0.282 [1 per cell]
O 0.287 0.868 0.598 [1 per cell]
O 0.322 0.209 0.554 [1 per cell]
O 0.462 0.950 0.784 [1 per cell]
O 0.525 0.262 0.109 [1 per cell]
O 0.574 0.599 0.966 [1 per cell]
O 0.656 0.455 0.262 [1 per cell]
O 0.656 0.856 0.258 [1 per cell]
O 0.767 0.624 0.471 [1 per cell]
O 0.772 0.008 0.473 [1 per cell]
O 0.857 0.866 0.781 [1 per cell]
O 0.898 0.218 0.594 [1 per cell]
O 0.984 0.505 0.938 [1 per cell]

Peak list (8 most intense, 5° ≤ 2θ ≤ 70°, by angle)
(hkl), Position (°2θ), Rel. int.
0 0 2, 24.82, 61
0 1 -2, 25.62, 53
0 2 0, 27.35, 99
2 0 2, 28.48, 96
2 2 0, 28.93, 100
2 0 0, 30.78, 58
0 1 2, 30.94, 61
4 2 2, 48.07, 52